For Li2Fe2OF6, a GGA+U-relaxed structure gives the simulated X-ray diffraction stick pattern in this record (Cu Kα X-rays).

Main lines, in order of rising 2θ (2θ from 10° to 80°):
2θ/deg  I/Imax  hkl
14.07  51  0 0 1
18.66  100  1 1 1
25.66  31  1 1 2
38.70  55  2 -1 1
41.08  42  0 2 3
41.33  37  1 2 -1

Lattice parameters (Å, degrees): 5.6967 7.0433 7.3026 64.04 69.99 78.03
Space group P-1 (No. 2)
Inequivalent atoms, fractional coordinates:
Li 0.1761 0.1152 0.2817 x2
Li 0.2904 0.6255 0.5817 x2
Fe 0.1689 0.0814 0.7786 x2
Fe 0.2702 0.6379 0.0845 x2
O 0.0094 0.1664 0.0149 x2
F 0.0723 0.4009 0.2547 x2
F 0.1787 0.7535 0.3026 x2
F 0.2026 0.9678 0.5719 x2
F 0.3563 0.3217 0.5982 x2
F 0.4112 0.5265 0.8520 x2
F 0.4738 0.8854 0.8783 x2